BaTa2Bi2O9: computed powder diffraction line list (Cu Kα, 1.54184 Å), based on a PBE-relaxed structure.

Structural model:
a b c (Å): 3.9687 3.9687 25.2636
angles (deg): 90.00 90.00 90.00
Space group I4/mmm (No. 139)
Asymmetric unit:
1 Ba 0.0000 0.0000 0.0000 [2 per cell]
2 Ta 0.0000 0.0000 0.4120 [4 per cell]
3 Bi 0.0000 0.0000 0.2013 [4 per cell]
4 O 0.0000 0.0000 0.3372 [4 per cell]
5 O 0.0000 0.0000 0.5000 [2 per cell]
6 O 0.0000 0.5000 0.0808 [8 per cell]
7 O 0.0000 0.5000 0.2500 [4 per cell]

Main lines, by angle (15 to 90 degrees two-theta):
2θ/deg	I (rel.)	hkl
28.60	100	1 0 5
31.89	38	1 1 0
35.53	12	0 0 10
45.72	22	2 0 0
48.48	22	1 1 10
54.82	34	2 1 5
59.21	12	2 0 10
59.63	9	1 0 15
66.65	8	2 2 0
75.79	8	3 1 0
78.25	8	2 1 15
86.61	9	3 1 10